[1]
Tb6Dy7Tm16: theoretical powder diffraction line list (Cu Ka), based on the GGA-PBE geometry in Alexandria.
Lines closer than 0.1° are merged.

Cell and atoms:
Cell: 10.998 10.998 10.998 Å, 60.00 60.00 60.00°
Element x y z (fractional)
Tb: 0.221 0.221 0.779
Tb: 0.221 0.779 0.221
Tb: 0.221 0.779 0.779
Tb: 0.779 0.221 0.221
Tb: 0.779 0.221 0.779
Tb: 0.779 0.779 0.221
Dy: 0.000 0.000 0.500
Dy: 0.000 0.500 0.000
Dy: 0.000 0.500 0.500
Dy: 0.500 0.000 0.000
Dy: 0.500 0.000 0.500
Dy: 0.500 0.500 0.000
Dy: 0.500 0.500 0.500
Tm: 0.130 0.623 0.623
Tm: 0.153 0.153 0.153
Tm: 0.153 0.153 0.542
Tm: 0.153 0.542 0.153
Tm: 0.377 0.377 0.377
Tm: 0.377 0.377 0.870
Tm: 0.377 0.870 0.377
Tm: 0.458 0.847 0.847
Tm: 0.542 0.153 0.153
Tm: 0.623 0.130 0.623
Tm: 0.623 0.623 0.130
Tm: 0.623 0.623 0.623
Tm: 0.847 0.458 0.847
Tm: 0.847 0.847 0.458
Tm: 0.847 0.847 0.847
Tm: 0.870 0.377 0.377

Top 10 peaks for 10 to 80 degrees two-theta, in order of rising 2θ:
28.1 deg, I 7; 29.9 deg, I 19; 32.6 deg, I 100; 34.1 deg, I 7; 44.8 deg, I 9; 46.7 deg, I 13; 53.7 deg, I 6; 58.1 deg, I 23; 59.1 deg, I 6; 61.7 deg, I 9



[2]
TbDyTm4: theoretical powder diffraction line list (Cu Ka), based on the GGA-PBE geometry in Alexandria.
Lines closer than 0.1° are merged.

Cell and atoms:
Cell: 6.490 6.490 6.490 Å, 60.00 60.00 60.00°
Element x y z (fractional)
Tb: 0.000 0.000 0.000
Dy: 0.750 0.750 0.750
Tm: 0.375 0.375 0.375
Tm: 0.375 0.375 0.875
Tm: 0.375 0.875 0.375
Tm: 0.875 0.375 0.375

Top 10 peaks for 10 to 80 degrees two-theta, in order of rising 2θ:
16.7 deg, I 6; 27.5 deg, I 24; 32.4 deg, I 100; 33.8 deg, I 43; 39.3 deg, I 6; 48.6 deg, I 10; 51.8 deg, I 36; 56.7 deg, I 32; 66.8 deg, I 12; 67.7 deg, I 17



[3]
Tb7DyTm4: theoretical powder diffraction line list (Cu Ka), based on the GGA-PBE geometry in Alexandria.
Lines closer than 0.1° are merged.

Cell and atoms:
Cell: 6.165 7.119 8.763 Å, 90.00 76.29 89.91°
Element x y z (fractional)
Tb: 0.000 0.000 0.000
Tb: 0.221 0.500 0.334
Tb: 0.280 0.249 0.665
Tb: 0.499 0.752 0.999
Tb: 0.501 0.248 0.001
Tb: 0.720 0.751 0.335
Tb: 0.779 0.500 0.666
Dy: 0.000 0.500 0.000
Tm: 0.220 0.000 0.335
Tm: 0.278 0.751 0.666
Tm: 0.722 0.249 0.334
Tm: 0.780 0.000 0.665

Top 10 peaks for 10 to 80 degrees two-theta, in order of rising 2θ:
29.2 deg, I 37; 29.8 deg, I 16; 31.5 deg, I 50; 32.2 deg, I 100; 34.0 deg, I 89; 51.3 deg, I 39; 55.4 deg, I 14; 61.5 deg, I 23; 61.6 deg, I 22; 61.9 deg, I 15



[4]
Tb3Dy2Tm9: theoretical powder diffraction line list (Cu Ka), based on the GGA-PBE geometry in Alexandria.
Lines closer than 0.1° are merged.

Cell and atoms:
Cell: 6.177 8.565 8.683 Å, 79.97 75.96 87.27°
Element x y z (fractional)
Tb: 0.000 0.000 0.000
Tb: 0.173 0.340 0.197
Tb: 0.485 0.752 0.546
Dy: 0.699 0.332 0.965
Dy: 0.817 0.407 0.562
Tm: 0.042 0.757 0.365
Tm: 0.148 0.066 0.558
Tm: 0.254 0.376 0.767
Tm: 0.328 0.684 0.965
Tm: 0.443 0.976 0.165
Tm: 0.580 0.039 0.766
Tm: 0.711 0.605 0.191
Tm: 0.721 0.124 0.363
Tm: 0.896 0.705 0.777

Top 10 peaks for 10 to 80 degrees two-theta, in order of rising 2θ:
31.8 deg, I 94; 32.1 deg, I 100; 33.8 deg, I 53; 35.0 deg, I 35; 41.9 deg, I 16; 49.5 deg, I 15; 49.6 deg, I 15; 53.3 deg, I 13; 59.6 deg, I 11; 63.6 deg, I 21



[5]
Tb3Dy2Tm6: theoretical powder diffraction line list (Cu Ka), based on the GGA-PBE geometry in Alexandria.
Lines closer than 0.1° are merged.

Cell and atoms:
Cell: 31.470 31.470 31.470 Å, 6.40 6.40 6.40°
Element x y z (fractional)
Tb: 0.000 0.000 0.000
Tb: 0.273 0.273 0.273
Tb: 0.727 0.727 0.727
Dy: 0.455 0.455 0.455
Dy: 0.545 0.545 0.545
Tm: 0.091 0.091 0.091
Tm: 0.182 0.182 0.182
Tm: 0.364 0.364 0.364
Tm: 0.636 0.636 0.636
Tm: 0.818 0.818 0.818
Tm: 0.909 0.909 0.909

Top 10 peaks for 10 to 80 degrees two-theta, in order of rising 2θ:
31.2 deg, I 100; 31.3 deg, I 33; 36.2 deg, I 67; 52.0 deg, I 24; 52.2 deg, I 24; 62.0 deg, I 43; 62.2 deg, I 14; 65.0 deg, I 12; 65.4 deg, I 4; 76.9 deg, I 8



[6]
Tb2Dy4Tm: theoretical powder diffraction line list (Cu Ka), based on the GGA-PBE geometry in Alexandria.
Lines closer than 0.1° are merged.

Cell and atoms:
Cell: 3.561 3.561 19.918 Å, 90.00 90.00 120.00°
Element x y z (fractional)
Tb: 0.000 0.000 0.000
Tb: 0.000 0.000 0.286
Dy: 0.333 0.667 0.143
Dy: 0.333 0.667 0.856
Dy: 0.667 0.333 0.430
Dy: 0.667 0.333 0.712
Tm: 0.000 0.000 0.570

Top 10 peaks for 10 to 80 degrees two-theta, in order of rising 2θ:
29.3 deg, I 38; 31.4 deg, I 50; 32.0 deg, I 100; 34.2 deg, I 86; 39.9 deg, I 15; 51.3 deg, I 38; 54.9 deg, I 21; 59.2 deg, I 18; 61.4 deg, I 45; 61.8 deg, I 15